Entry 1:
# Er9Tm4Cd11
Simulated powder XRD pattern, Cu Kα. Input: DFT lattice parameters and positions (GGA-PBE).
Kinematic intensities with the Lorentz-polarization factor, no thermal factor.

Structure:
Cell lengths 13.747, 13.747, 3.469 Å; angles 90.00, 90.00, 108.23 degrees
Fractional coordinates of all 24 atoms:
Er (0.000, 0.000, 0.000)
Er (0.118, 0.656, 0.000)
Er (0.295, 0.482, 0.000)
Er (0.344, 0.882, 0.000)
Er (0.482, 0.295, 0.000)
Er (0.518, 0.705, 0.000)
Er (0.656, 0.118, 0.000)
Er (0.705, 0.518, 0.000)
Er (0.882, 0.344, 0.000)
Tm (0.085, 0.250, 0.000)
Tm (0.250, 0.085, 0.000)
Tm (0.750, 0.915, 0.000)
Tm (0.915, 0.750, 0.000)
Cd (0.088, 0.449, 0.500)
Cd (0.128, 0.872, 0.500)
Cd (0.287, 0.287, 0.500)
Cd (0.319, 0.681, 0.500)
Cd (0.449, 0.088, 0.500)
Cd (0.500, 0.500, 0.500)
Cd (0.551, 0.912, 0.500)
Cd (0.681, 0.319, 0.500)
Cd (0.713, 0.713, 0.500)
Cd (0.872, 0.128, 0.500)
Cd (0.912, 0.551, 0.500)

Largest 12 diffraction maxima, low angle first, 2θ = 10–90°:
- 2θ 32.8, I = 100
- 2θ 33.2, I = 42
- 2θ 34.1, I = 93
- 2θ 34.3, I = 58
- 2θ 35.4, I = 80
- 2θ 38.3, I = 32
- 2θ 42.1, I = 13
- 2θ 52.8, I = 22
- 2θ 60.2, I = 36
- 2θ 61.9, I = 35
- 2θ 63.5, I = 29
- 2θ 64.5, I = 19

=====

Entry 2:
# La8Sm3Pu
Simulated powder XRD pattern, Cu Kα. Input: DFT lattice parameters and positions (GGA-PBE).
Kinematic intensities with the Lorentz-polarization factor, no thermal factor.

Structure:
Cell lengths 8.572, 8.572, 8.572 Å; angles 118.03, 118.03, 93.45 degrees
Fractional coordinates of all 12 atoms:
La (0.115, 0.115, 0.758)
La (0.208, 0.208, 0.462)
La (0.254, 0.792, 0.000)
La (0.357, 0.357, 0.242)
La (0.643, 0.885, 0.000)
La (0.746, 0.746, 0.538)
La (0.792, 0.254, 0.000)
La (0.885, 0.643, 0.000)
Sm (0.250, 0.750, 0.500)
Sm (0.500, 0.500, 0.000)
Sm (0.750, 0.250, 0.500)
Pu (0.000, 0.000, 0.000)

Largest 12 diffraction maxima, low angle first, 2θ = 10–90°:
- 2θ 14.2, I = 37
- 2θ 20.8, I = 39
- 2θ 23.8, I = 42
- 2θ 25.2, I = 29
- 2θ 28.6, I = 73
- 2θ 30.4, I = 59
- 2θ 32.2, I = 26
- 2θ 35.6, I = 100
- 2θ 42.2, I = 46
- 2θ 43.8, I = 38
- 2θ 55.3, I = 39
- 2θ 57.5, I = 31

=====

Entry 3:
# Sm2Y7
Simulated powder XRD pattern, Cu Kα. Input: DFT lattice parameters and positions (GGA-PBE).
Kinematic intensities with the Lorentz-polarization factor, no thermal factor.

Structure:
Cell lengths 6.208, 6.208, 8.773 Å; angles 90.00, 90.00, 120.00 degrees
Fractional coordinates of all 9 atoms:
Sm (0.333, 0.667, 0.000)
Sm (0.667, 0.333, 0.000)
Y (0.000, 0.000, 0.000)
Y (0.000, 0.333, 0.666)
Y (0.000, 0.667, 0.334)
Y (0.333, 0.000, 0.666)
Y (0.333, 0.333, 0.334)
Y (0.667, 0.000, 0.334)
Y (0.667, 0.667, 0.666)

Largest 12 diffraction maxima, low angle first, 2θ = 10–90°:
- 2θ 10.1, I = 4
- 2θ 16.5, I = 1
- 2θ 19.4, I = 2
- 2θ 28.8, I = 1
- 2θ 30.6, I = 100
- 2θ 35.4, I = 50
- 2θ 51.0, I = 35
- 2θ 60.6, I = 41
- 2θ 63.6, I = 12
- 2θ 75.0, I = 5
- 2θ 83.1, I = 17
- 2θ 85.7, I = 15

=====

Entry 4:
# PmY4Tl5
Simulated powder XRD pattern, Cu Kα. Input: DFT lattice parameters and positions (GGA-PBE).
Kinematic intensities with the Lorentz-polarization factor, no thermal factor.

Structure:
Cell lengths 3.777, 3.777, 19.481 Å; angles 90.00, 90.00, 90.00 degrees
Fractional coordinates of all 10 atoms:
Pm (0.000, 0.000, 0.000)
Y (0.000, 0.000, 0.204)
Y (0.000, 0.000, 0.401)
Y (0.000, 0.000, 0.599)
Y (0.000, 0.000, 0.796)
Tl (0.500, 0.500, 0.105)
Tl (0.500, 0.500, 0.303)
Tl (0.500, 0.500, 0.500)
Tl (0.500, 0.500, 0.697)
Tl (0.500, 0.500, 0.895)

Largest 12 diffraction maxima, low angle first, 2θ = 10–90°:
- 2θ 22.8, I = 6
- 2θ 23.6, I = 12
- 2θ 33.0, I = 100
- 2θ 33.6, I = 48
- 2θ 46.6, I = 9
- 2θ 48.2, I = 18
- 2θ 58.7, I = 19
- 2θ 59.7, I = 37
- 2θ 69.3, I = 11
- 2θ 77.8, I = 8
- 2θ 80.1, I = 8
- 2θ 80.4, I = 8

=====

Entry 5:
# Pr7BiAs5
Simulated powder XRD pattern, Cu Kα. Input: DFT lattice parameters and positions (GGA-PBE).
Kinematic intensities with the Lorentz-polarization factor, no thermal factor.

Structure:
Cell lengths 7.432, 7.432, 25.513 Å; angles 90.00, 90.00, 145.99 degrees
Fractional coordinates of all 26 atoms:
Pr (0.033, 0.967, 0.750)
Pr (0.136, 0.864, 0.035)
Pr (0.136, 0.864, 0.465)
Pr (0.324, 0.676, 0.673)
Pr (0.324, 0.676, 0.827)
Pr (0.409, 0.591, 0.104)
Pr (0.409, 0.591, 0.396)
Pr (0.591, 0.409, 0.604)
Pr (0.591, 0.409, 0.896)
Pr (0.676, 0.324, 0.173)
Pr (0.676, 0.324, 0.327)
Pr (0.864, 0.136, 0.535)
Pr (0.864, 0.136, 0.965)
Pr (0.967, 0.033, 0.250)
Bi (0.298, 0.702, 0.250)
Bi (0.702, 0.298, 0.750)
As (0.044, 0.956, 0.143)
As (0.044, 0.956, 0.357)
As (0.228, 0.772, 0.573)
As (0.228, 0.772, 0.927)
As (0.500, 0.500, 0.000)
As (0.500, 0.500, 0.500)
As (0.772, 0.228, 0.073)
As (0.772, 0.228, 0.427)
As (0.956, 0.044, 0.643)
As (0.956, 0.044, 0.857)

Largest 12 diffraction maxima, low angle first, 2θ = 10–90°:
- 2θ 27.5, I = 78
- 2θ 27.7, I = 24
- 2θ 28.7, I = 100
- 2θ 29.8, I = 81
- 2θ 30.7, I = 15
- 2θ 38.4, I = 26
- 2θ 40.5, I = 16
- 2θ 41.5, I = 59
- 2θ 41.9, I = 31
- 2θ 42.0, I = 23
- 2θ 50.6, I = 29
- 2θ 60.6, I = 15

=====

Entry 6:
# CaPm2Pr9
Simulated powder XRD pattern, Cu Kα. Input: DFT lattice parameters and positions (GGA-PBE).
Kinematic intensities with the Lorentz-polarization factor, no thermal factor.

Structure:
Cell lengths 5.254, 5.254, 15.743 Å; angles 90.00, 90.00, 90.00 degrees
Fractional coordinates of all 12 atoms:
Ca (0.000, 0.000, 0.000)
Pm (0.000, 0.000, 0.333)
Pm (0.000, 0.000, 0.667)
Pr (0.000, 0.500, 0.171)
Pr (0.000, 0.500, 0.500)
Pr (0.000, 0.500, 0.829)
Pr (0.500, 0.000, 0.171)
Pr (0.500, 0.000, 0.500)
Pr (0.500, 0.000, 0.829)
Pr (0.500, 0.500, 0.000)
Pr (0.500, 0.500, 0.334)
Pr (0.500, 0.500, 0.666)

Largest 12 diffraction maxima, low angle first, 2θ = 10–90°:
- 2θ 11.2, I = 1
- 2θ 17.8, I = 1
- 2θ 29.5, I = 100
- 2θ 34.1, I = 51
- 2θ 49.1, I = 36
- 2θ 58.3, I = 43
- 2θ 61.1, I = 12
- 2θ 71.9, I = 4
- 2θ 72.0, I = 2
- 2θ 79.6, I = 17
- 2θ 82.0, I = 11
- 2θ 82.1, I = 5

=====

Entry 7:
# Li7SnGe4
Simulated powder XRD pattern, Cu Kα. Input: DFT lattice parameters and positions (GGA-PBE).
Kinematic intensities with the Lorentz-polarization factor, no thermal factor.

Structure:
Cell lengths 6.639, 6.639, 9.203 Å; angles 124.28, 124.28, 43.09 degrees
Fractional coordinates of all 12 atoms:
Li (0.000, 0.000, 0.000)
Li (0.179, 0.179, 0.628)
Li (0.279, 0.279, 0.130)
Li (0.438, 0.438, 0.625)
Li (0.562, 0.562, 0.375)
Li (0.721, 0.721, 0.870)
Li (0.821, 0.821, 0.372)
Sn (0.500, 0.500, 0.000)
Ge (0.056, 0.056, 0.775)
Ge (0.189, 0.189, 0.351)
Ge (0.811, 0.811, 0.649)
Ge (0.944, 0.944, 0.225)

Largest 12 diffraction maxima, low angle first, 2θ = 10–90°:
- 2θ 14.4, I = 42
- 2θ 26.4, I = 20
- 2θ 27.3, I = 100
- 2θ 28.7, I = 20
- 2θ 32.9, I = 12
- 2θ 34.9, I = 12
- 2θ 36.9, I = 32
- 2θ 40.8, I = 24
- 2θ 43.9, I = 25
- 2θ 44.1, I = 13
- 2θ 46.5, I = 12
- 2θ 56.2, I = 15

=====

Entry 8:
# V5Re2W
Simulated powder XRD pattern, Cu Kα. Input: DFT lattice parameters and positions (GGA-PBE).
Kinematic intensities with the Lorentz-polarization factor, no thermal factor.

Structure:
Cell lengths 5.234, 5.234, 4.353 Å; angles 90.00, 90.00, 108.74 degrees
Fractional coordinates of all 8 atoms:
V (0.000, 0.000, 0.000)
V (0.000, 0.500, 0.000)
V (0.249, 0.751, 0.500)
V (0.500, 0.000, 0.000)
V (0.751, 0.249, 0.500)
Re (0.246, 0.246, 0.500)
Re (0.754, 0.754, 0.500)
W (0.500, 0.500, 0.000)

Largest 12 diffraction maxima, low angle first, 2θ = 10–90°:
- 2θ 17.9, I = 9
- 2θ 20.9, I = 36
- 2θ 27.3, I = 10
- 2θ 36.0, I = 19
- 2θ 41.5, I = 26
- 2θ 41.9, I = 100
- 2θ 42.5, I = 24
- 2θ 46.9, I = 9
- 2θ 56.9, I = 11
- 2θ 60.9, I = 16
- 2θ 76.0, I = 17
- 2θ 77.4, I = 16

=====

Entry 9:
# Mg5VCl12
Simulated powder XRD pattern, Cu Kα. Input: DFT lattice parameters and positions (GGA-PBE).
Kinematic intensities with the Lorentz-polarization factor, no thermal factor.

Structure:
Cell lengths 6.341, 6.341, 13.232 Å; angles 90.03, 90.03, 120.02 degrees
Fractional coordinates of all 18 atoms:
Mg (0.000, 0.000, 0.000)
Mg (0.167, 0.833, 0.500)
Mg (0.333, 0.667, 0.000)
Mg (0.667, 0.333, 0.000)
Mg (0.833, 0.167, 0.500)
V (0.500, 0.500, 0.500)
Cl (0.000, 0.333, 0.896)
Cl (0.000, 0.667, 0.104)
Cl (0.170, 0.170, 0.603)
Cl (0.170, 0.500, 0.397)
Cl (0.333, 0.000, 0.896)
Cl (0.333, 0.333, 0.104)
Cl (0.500, 0.170, 0.397)
Cl (0.500, 0.830, 0.603)
Cl (0.667, 0.000, 0.104)
Cl (0.667, 0.667, 0.896)
Cl (0.830, 0.500, 0.603)
Cl (0.830, 0.830, 0.397)

Largest 12 diffraction maxima, low angle first, 2θ = 10–90°:
- 2θ 13.4, I = 100
- 2θ 29.0, I = 17
- 2θ 31.3, I = 74
- 2θ 34.9, I = 49
- 2θ 39.4, I = 27
- 2θ 44.6, I = 28
- 2θ 49.8, I = 12
- 2θ 50.3, I = 41
- 2θ 56.7, I = 9
- 2θ 62.2, I = 10
- 2θ 65.3, I = 10
- 2θ 84.5, I = 8

=====

Entry 10:
# Nd3SmEr4
Simulated powder XRD pattern, Cu Kα. Input: DFT lattice parameters and positions (GGA-PBE).
Kinematic intensities with the Lorentz-polarization factor, no thermal factor.

Structure:
Cell lengths 11.496, 7.309, 6.284 Å; angles 90.00, 90.00, 90.00 degrees
Fractional coordinates of all 16 atoms:
Nd (0.000, 0.128, 0.000)
Nd (0.250, 0.128, 0.337)
Nd (0.250, 0.872, 0.837)
Nd (0.500, 0.872, 0.500)
Nd (0.750, 0.128, 0.337)
Nd (0.750, 0.872, 0.837)
Sm (0.000, 0.871, 0.500)
Sm (0.500, 0.129, 0.000)
Er (0.000, 0.379, 0.501)
Er (0.000, 0.621, 0.002)
Er (0.250, 0.380, 0.835)
Er (0.250, 0.620, 0.335)
Er (0.500, 0.379, 0.502)
Er (0.500, 0.621, 0.001)
Er (0.750, 0.380, 0.835)
Er (0.750, 0.620, 0.335)

Largest 12 diffraction maxima, low angle first, 2θ = 10–90°:
- 2θ 28.3, I = 23
- 2θ 28.4, I = 12
- 2θ 31.1, I = 37
- 2θ 32.3, I = 100
- 2θ 32.5, I = 49
- 2θ 42.5, I = 15
- 2θ 49.9, I = 10
- 2θ 50.2, I = 19
- 2θ 56.2, I = 31
- 2θ 60.0, I = 11
- 2θ 60.3, I = 22
- 2θ 60.8, I = 16

=====

Entry 11:
# Tl10SbPb4
Simulated powder XRD pattern, Cu Kα. Input: DFT lattice parameters and positions (GGA-PBE).
Kinematic intensities with the Lorentz-polarization factor, no thermal factor.

Structure:
Cell lengths 9.233, 9.233, 9.233 Å; angles 99.79, 99.79, 131.29 degrees
Fractional coordinates of all 15 atoms:
Tl (0.049, 0.148, 0.701)
Tl (0.148, 0.447, 0.098)
Tl (0.250, 0.750, 0.500)
Tl (0.348, 0.049, 0.902)
Tl (0.447, 0.348, 0.299)
Tl (0.553, 0.652, 0.701)
Tl (0.652, 0.951, 0.098)
Tl (0.750, 0.250, 0.500)
Tl (0.852, 0.553, 0.902)
Tl (0.951, 0.852, 0.299)
Sb (0.000, 0.000, 0.000)
Pb (0.200, 0.598, 0.799)
Pb (0.402, 0.200, 0.602)
Pb (0.598, 0.800, 0.398)
Pb (0.800, 0.402, 0.201)

Largest 12 diffraction maxima, low angle first, 2θ = 10–90°:
- 2θ 20.4, I = 35
- 2θ 23.7, I = 16
- 2θ 33.5, I = 100
- 2θ 33.7, I = 49
- 2θ 39.7, I = 13
- 2θ 47.8, I = 9
- 2θ 48.4, I = 18
- 2θ 59.7, I = 20
- 2θ 60.1, I = 38
- 2θ 70.4, I = 12
- 2θ 79.7, I = 9
- 2θ 80.7, I = 8

=====

Entry 12:
# K2RbOsO5
Simulated powder XRD pattern, Cu Kα. Input: DFT lattice parameters and positions (GGA-PBE).
Kinematic intensities with the Lorentz-polarization factor, no thermal factor.

Structure:
Cell lengths 7.213, 7.213, 7.213 Å; angles 148.66, 127.50, 62.43 degrees
Fractional coordinates of all 9 atoms:
K (0.227, 0.227, 0.000)
K (0.773, 0.773, 0.000)
Rb (0.500, 0.000, 0.500)
Os (0.000, 0.500, 0.500)
O (0.000, 0.000, 0.000)
O (0.100, 0.391, 0.709)
O (0.318, 0.609, 0.709)
O (0.682, 0.391, 0.291)
O (0.900, 0.609, 0.291)

Largest 12 diffraction maxima, low angle first, 2θ = 10–90°:
- 2θ 14.4, I = 65
- 2θ 15.6, I = 45
- 2θ 26.8, I = 22
- 2θ 28.0, I = 27
- 2θ 28.9, I = 22
- 2θ 30.5, I = 100
- 2θ 31.6, I = 19
- 2θ 40.7, I = 33
- 2θ 51.1, I = 22
- 2θ 52.3, I = 17
- 2θ 57.8, I = 13
- 2θ 63.6, I = 17

=====

Repeat the sixth record exactly.
# CaPm2Pr9
Simulated powder XRD pattern, Cu Kα. Input: DFT lattice parameters and positions (GGA-PBE).
Kinematic intensities with the Lorentz-polarization factor, no thermal factor.

Structure:
Cell lengths 5.254, 5.254, 15.743 Å; angles 90.00, 90.00, 90.00 degrees
Fractional coordinates of all 12 atoms:
Ca (0.000, 0.000, 0.000)
Pm (0.000, 0.000, 0.333)
Pm (0.000, 0.000, 0.667)
Pr (0.000, 0.500, 0.171)
Pr (0.000, 0.500, 0.500)
Pr (0.000, 0.500, 0.829)
Pr (0.500, 0.000, 0.171)
Pr (0.500, 0.000, 0.500)
Pr (0.500, 0.000, 0.829)
Pr (0.500, 0.500, 0.000)
Pr (0.500, 0.500, 0.334)
Pr (0.500, 0.500, 0.666)

Largest 12 diffraction maxima, low angle first, 2θ = 10–90°:
- 2θ 11.2, I = 1
- 2θ 17.8, I = 1
- 2θ 29.5, I = 100
- 2θ 34.1, I = 51
- 2θ 49.1, I = 36
- 2θ 58.3, I = 43
- 2θ 61.1, I = 12
- 2θ 71.9, I = 4
- 2θ 72.0, I = 2
- 2θ 79.6, I = 17
- 2θ 82.0, I = 11
- 2θ 82.1, I = 5

=====

What did the twelfth record say?
# K2RbOsO5
Simulated powder XRD pattern, Cu Kα. Input: DFT lattice parameters and positions (GGA-PBE).
Kinematic intensities with the Lorentz-polarization factor, no thermal factor.

Structure:
Cell lengths 7.213, 7.213, 7.213 Å; angles 148.66, 127.50, 62.43 degrees
Fractional coordinates of all 9 atoms:
K (0.227, 0.227, 0.000)
K (0.773, 0.773, 0.000)
Rb (0.500, 0.000, 0.500)
Os (0.000, 0.500, 0.500)
O (0.000, 0.000, 0.000)
O (0.100, 0.391, 0.709)
O (0.318, 0.609, 0.709)
O (0.682, 0.391, 0.291)
O (0.900, 0.609, 0.291)

Largest 12 diffraction maxima, low angle first, 2θ = 10–90°:
- 2θ 14.4, I = 65
- 2θ 15.6, I = 45
- 2θ 26.8, I = 22
- 2θ 28.0, I = 27
- 2θ 28.9, I = 22
- 2θ 30.5, I = 100
- 2θ 31.6, I = 19
- 2θ 40.7, I = 33
- 2θ 51.1, I = 22
- 2θ 52.3, I = 17
- 2θ 57.8, I = 13
- 2θ 63.6, I = 17